Diffraction record for Ba2CaNi3F12. The X-ray powder pattern is simulated, not measured: it uses DFT lattice parameters and positions (GGA+U) and λ = 1.5418 Å (Cu Kα).

Principal peaks in the range 2θ = 5–70°, low angle first:
2θ 24.39, I = 28
2θ 25.22, I = 60
2θ 28.73, I = 100
2θ 29.09, I = 76
2θ 29.79, I = 43
2θ 30.17, I = 24
2θ 38.87, I = 21
2θ 45.95, I = 25
2θ 46.43, I = 28
2θ 49.99, I = 57
2θ 51.78, I = 25
2θ 61.88, I = 18

Cell and atoms:
a b c (Å): 7.0701 7.0701 7.0701
angles (deg): 62.14 62.14 62.14
Fractional positions:
Ba (0.1129, 0.1129, 0.1129)
Ba (0.8871, 0.8871, 0.8871)
Ca (0.5000, 0.5000, 0.5000)
Ni (0.0000, 0.5000, 0.5000)
Ni (0.5000, 0.0000, 0.5000)
Ni (0.5000, 0.5000, 0.0000)
F (0.0848, 0.6362, 0.6362)
F (0.2202, 0.2202, 0.6329)
F (0.2202, 0.6329, 0.2202)
F (0.3638, 0.3638, 0.9152)
F (0.3638, 0.9152, 0.3638)
F (0.3671, 0.7798, 0.7798)
F (0.6329, 0.2202, 0.2202)
F (0.6362, 0.0848, 0.6362)
F (0.6362, 0.6362, 0.0848)
F (0.7798, 0.3671, 0.7798)
F (0.7798, 0.7798, 0.3671)
F (0.9152, 0.3638, 0.3638)